# 1
For SmGe2S4, a cell relaxed with PBE gives the calculated powder XRD pattern in this record (a wavelength of 1.5418 Å).

Top 10 peaks for 5° ≤ 2θ ≤ 70°, low angle first:
d (Å), 2θ (°), I (rel.)
4.915, 18.05, 100
3.728, 23.87, 52
2.970, 30.09, 84
2.778, 32.22, 84
2.636, 34.01, 60
1.972, 46.04, 18
1.912, 47.55, 91
1.824, 50.00, 19
1.743, 52.51, 19
1.667, 55.09, 23

Atomic structure:
Cell lengths 6.2029, 6.2029, 6.2029 Å; angles 106.12, 106.12, 116.41 degrees
Fractional positions:
Sm (0.0000, 0.0000, 0.0000)
Ge (0.2500, 0.7500, 0.5000)
Ge (0.7500, 0.2500, 0.5000)
S (0.1827, 0.3218, 0.5044)
S (0.3218, 0.8173, 0.1391)
S (0.6782, 0.1827, 0.8609)
S (0.8173, 0.6782, 0.4956)

=====

# 2
For SmGe2S6, a cell relaxed with PBE gives the calculated powder XRD pattern in this record (a wavelength of 1.5418 Å).

Top 10 peaks for 5° ≤ 2θ ≤ 70°, low angle first:
d (Å), 2θ (°), I (rel.)
5.492, 16.14, 57
4.520, 19.64, 77
3.759, 23.67, 100
3.713, 23.97, 98
3.124, 28.57, 95
2.548, 35.22, 63
2.540, 35.34, 39
2.400, 37.48, 33
2.016, 44.98, 44
1.777, 51.43, 46

Atomic structure:
Cell lengths 8.3240, 8.3240, 6.4964 Å; angles 102.41, 102.41, 84.33 degrees
Fractional positions:
Sm (0.1513, 0.8487, 0.7500)
Sm (0.8487, 0.1513, 0.2500)
Ge (0.2296, 0.3672, 0.7719)
Ge (0.3672, 0.2296, 0.2719)
Ge (0.6328, 0.7704, 0.7281)
Ge (0.7704, 0.6328, 0.2281)
S (0.0501, 0.1720, 0.6619)
S (0.1346, 0.5899, 0.9744)
S (0.1720, 0.0501, 0.1619)
S (0.2747, 0.4616, 0.4902)
S (0.4101, 0.8654, 0.5256)
S (0.4616, 0.2747, 0.9902)
S (0.5384, 0.7253, 0.0098)
S (0.5899, 0.1346, 0.4744)
S (0.7253, 0.5384, 0.5098)
S (0.8280, 0.9499, 0.8381)
S (0.8654, 0.4101, 0.0256)
S (0.9499, 0.8280, 0.3381)

=====

# 3
For Sm6SnGe2S3, a cell relaxed with PBE gives the calculated powder XRD pattern in this record (a wavelength of 1.5418 Å).

Top 10 peaks for 5° ≤ 2θ ≤ 70°, low angle first:
d (Å), 2θ (°), I (rel.)
3.441, 25.89, 8
3.417, 26.08, 8
3.401, 26.21, 16
2.957, 30.22, 100
2.105, 42.97, 12
2.097, 43.15, 25
2.085, 43.39, 24
2.078, 43.54, 12
1.700, 53.93, 13
1.479, 62.84, 8

Atomic structure:
Cell lengths 9.3649, 9.3649, 8.4187 Å; angles 103.41, 103.41, 25.65 degrees
Fractional positions:
Sm (0.0007, 0.0007, 0.2336)
Sm (0.3276, 0.3276, 0.4128)
Sm (0.3322, 0.3322, 0.9174)
Sm (0.6678, 0.6678, 0.0826)
Sm (0.6724, 0.6724, 0.5872)
Sm (0.9993, 0.9993, 0.7664)
Sn (0.5000, 0.5000, 0.5000)
Ge (0.1661, 0.1661, 0.8327)
Ge (0.8339, 0.8339, 0.1673)
S (0.1667, 0.1667, 0.3315)
S (0.5000, 0.5000, 0.0000)
S (0.8333, 0.8333, 0.6685)

=====

# 4
For Sm3GeTeS, a cell relaxed with PBE gives the calculated powder XRD pattern in this record (a wavelength of 1.5418 Å).

Top 10 peaks for 5° ≤ 2θ ≤ 70°, low angle first:
d (Å), 2θ (°), I (rel.)
3.175, 28.10, 85
3.159, 28.25, 38
3.073, 29.06, 100
3.038, 29.40, 100
2.360, 38.13, 31
2.213, 40.77, 47
2.165, 41.72, 32
2.081, 43.48, 32
2.008, 45.15, 45
1.815, 50.26, 38

Atomic structure:
Cell lengths 8.6715, 4.4263, 9.6737 Å; angles 90.00, 100.05, 90.00 degrees
Fractional positions:
Sm (0.0740, 0.2500, 0.3506)
Sm (0.2664, 0.2500, 0.9717)
Sm (0.3830, 0.7500, 0.6348)
Sm (0.6170, 0.2500, 0.3652)
Sm (0.7336, 0.7500, 0.0283)
Sm (0.9260, 0.7500, 0.6494)
Ge (0.1576, 0.2500, 0.6547)
Ge (0.8424, 0.7500, 0.3453)
Te (0.3273, 0.7500, 0.2925)
Te (0.6727, 0.2500, 0.7075)
S (0.4093, 0.7500, 0.9106)
S (0.5907, 0.2500, 0.0894)